Computed X-ray diffraction stick pattern of Cs2AcCrO4 for a wavelength of 1.5418 Å, from a cell relaxed with PBE+U.
Peak positions follow from Bragg's law for the DFT cell and can differ from measured ones.

Main lines, low angle first (10° ≤ 2θ ≤ 90°):
- 2θ = 21.30°, 4.172 Å, I = 29
- 2θ = 26.01°, 3.425 Å, I = 63
- 2θ = 26.26°, 3.394 Å, I = 100
- 2θ = 27.91°, 3.197 Å, I = 55
- 2θ = 29.59°, 3.019 Å, I = 78
- 2θ = 38.52°, 2.337 Å, I = 37
- 2θ = 48.38°, 1.881 Å, I = 21
- 2θ = 50.43°, 1.810 Å, I = 20
- 2θ = 50.65°, 1.802 Å, I = 20
- 2θ = 55.54°, 1.654 Å, I = 27

Atomic structure:
```
data_Cs2AcCrO4
_space_group_name_H-M_alt 'P m n 21'
_space_group_IT_number 31
_space_group_name_Hall 'P 2ac -2'
_cell_length_a 7.579
_cell_length_b 8.008
_cell_length_c 6.394
_cell_angle_alpha 90.00
_cell_angle_beta 90.00
_cell_angle_gamma 90.00
loop_
_atom_site_label
_atom_site_type_symbol
_atom_site_fract_x
_atom_site_fract_y
_atom_site_fract_z
Cs1 Cs 0.242 0.152 0.000
Ac1 Ac 0.000 0.395 0.484
Cr1 Cr 0.000 0.668 0.980
O1 O 0.000 0.459 0.123
O2 O 0.000 0.643 0.685
O3 O 0.236 0.767 0.036
```